Entry 1:
For ZrHSe2, a DFT-relaxed cell (GGA-PBE, Alexandria) gives the theoretical powder diffractogram in this record (Cu Ka).
Neutral-atom scattering factors, no anomalous dispersion.

Peak list (8 most intense, 10° ≤ 2θ ≤ 90°, in order of falling intensity)
2θ/deg  d [Å]  intensity
30.79  2.904  100
12.88  6.873  86
30.94  2.890  54
37.52  2.397  49
42.03  2.150  49
48.85  1.864  37
48.74  1.868  23
66.64  1.403  22

Crystal structure
Cell lengths 7.130, 3.209, 7.474 Å; angles 90.00, 105.43, 90.00 degrees
Element x y z (fractional)
Zr: 0.043 0.250 0.261
Zr: 0.957 0.750 0.739
H: 0.107 0.250 0.777
H: 0.893 0.750 0.223
Se: 0.252 0.750 0.557
Se: 0.253 0.750 0.071
Se: 0.747 0.250 0.929
Se: 0.748 0.250 0.443

Entry 2:
For Si23H, a DFT-relaxed cell (GGA-PBE, Alexandria) gives the theoretical powder diffractogram in this record (Cu Ka).
Neutral-atom scattering factors, no anomalous dispersion.

Peak list (8 most intense, 10° ≤ 2θ ≤ 90°, in order of falling intensity)
2θ/deg  d [Å]  intensity
19.42  4.571  100
32.79  2.732  85
52.19  1.753  83
21.29  4.172  65
55.42  1.658  45
36.24  2.479  34
40.44  2.230  32
30.29  2.950  31

Crystal structure
Cell lengths 10.220, 10.220, 10.220 Å; angles 90.00, 90.00, 90.00 degrees
Element x y z (fractional)
Si: 0.000 0.117 0.308
Si: 0.000 0.117 0.692
Si: 0.000 0.250 0.500
Si: 0.000 0.750 0.500
Si: 0.000 0.883 0.308
Si: 0.000 0.883 0.692
Si: 0.117 0.308 0.000
Si: 0.117 0.692 0.000
Si: 0.184 0.184 0.184
Si: 0.184 0.184 0.816
Si: 0.184 0.816 0.184
Si: 0.184 0.816 0.816
Si: 0.192 0.383 0.500
Si: 0.192 0.617 0.500
Si: 0.250 0.500 0.000
Si: 0.308 0.000 0.117
Si: 0.308 0.000 0.883
Si: 0.316 0.316 0.316
Si: 0.316 0.316 0.684
Si: 0.316 0.684 0.316
Si: 0.316 0.684 0.684
Si: 0.383 0.500 0.192
Si: 0.383 0.500 0.808
Si: 0.500 0.000 0.250
Si: 0.500 0.000 0.750
Si: 0.500 0.192 0.383
Si: 0.500 0.192 0.617
Si: 0.500 0.808 0.383
Si: 0.500 0.808 0.617
Si: 0.617 0.500 0.192
Si: 0.617 0.500 0.808
Si: 0.684 0.316 0.316
Si: 0.684 0.316 0.684
Si: 0.684 0.684 0.316
Si: 0.684 0.684 0.684
Si: 0.692 0.000 0.117
Si: 0.692 0.000 0.883
Si: 0.750 0.500 0.000
Si: 0.808 0.383 0.500
Si: 0.808 0.617 0.500
Si: 0.816 0.184 0.184
Si: 0.816 0.184 0.816
Si: 0.816 0.816 0.184
Si: 0.816 0.816 0.816
Si: 0.883 0.308 0.000
Si: 0.883 0.692 0.000
H: 0.000 0.000 0.000
H: 0.500 0.500 0.500

Entry 3:
For SiH4, a DFT-relaxed cell (GGA-PBE, Alexandria) gives the theoretical powder diffractogram in this record (Cu Ka).
Neutral-atom scattering factors, no anomalous dispersion.

Peak list (8 most intense, 10° ≤ 2θ ≤ 90°, in order of falling intensity)
2θ/deg  d [Å]  intensity
24.79  3.592  100
25.34  3.514  62
31.39  2.850  58
26.01  3.426  55
26.28  3.391  51
25.03  3.558  24
40.58  2.223  23
40.94  2.204  20

Crystal structure
Cell lengths 4.511, 4.511, 7.795 Å; angles 115.00, 115.00, 55.18 degrees
Element x y z (fractional)
Si: 0.073 0.927 0.750
Si: 0.927 0.073 0.250
H: 0.037 0.304 0.807
H: 0.250 0.689 0.582
H: 0.304 0.037 0.307
H: 0.311 0.750 0.918
H: 0.689 0.250 0.082
H: 0.696 0.963 0.693
H: 0.750 0.311 0.418
H: 0.963 0.696 0.193

Entry 4:
For SiH8, a DFT-relaxed cell (GGA-PBE, Alexandria) gives the theoretical powder diffractogram in this record (Cu Ka).
Neutral-atom scattering factors, no anomalous dispersion.

Peak list (8 most intense, 10° ≤ 2θ ≤ 90°, in order of falling intensity)
2θ/deg  d [Å]  intensity
22.18  4.009  100
25.31  3.519  38
36.86  2.439  33
42.77  2.114  25
36.10  2.488  19
26.35  3.383  16
45.24  2.004  14
58.24  1.584  13

Crystal structure
Cell lengths 4.881, 4.881, 4.881 Å; angles 118.71, 118.71, 92.26 degrees
Element x y z (fractional)
Si: 0.000 0.000 0.000
H: 0.194 0.694 0.500
H: 0.306 0.806 0.500
H: 0.372 0.128 0.244
H: 0.445 0.445 0.000
H: 0.555 0.555 0.000
H: 0.872 0.117 0.244
H: 0.872 0.628 0.756
H: 0.883 0.128 0.756